Simulated powder X-ray diffraction pattern of La2MgAl3Ni2 for Cu Kα, 1.54184 Å, from DFT lattice parameters and positions (PBE).
Neutral-atom scattering factors, no anomalous dispersion.

Principal peaks in the range 15° ≤ 2θ ≤ 90°, in order of rising 2θ:
d [Å]	I_rel
3.930	64.5
3.672	55.1
2.683	100.0
2.499	93.4
2.410	53.1
2.129	31.5
1.664	16.4
1.596	29.0

Structure:
a b c (Å): 5.5276 5.5276 7.3441
angles (deg): 90.18 90.18 45.31
Fractional coordinates of all 8 atoms:
La 0.0000 0.0000 0.0000
La 0.1106 0.1106 0.4888
Mg 0.7149 0.7149 0.8009
Al 0.3937 0.3937 0.3065
Al 0.3967 0.3967 0.6904
Al 0.7222 0.7222 0.1940
Ni 0.2804 0.2804 0.0094
Ni 0.8433 0.8433 0.4887